# 1
Diffraction record for CeMnH5. The powder diffraction line list is calculated, not measured: it uses a cell relaxed with GGA-PBE and λ = 1.5418 Å (Cu Kα).
Intensities are scaled so that the largest is 100.

Atomic structure:
a = 3.624 Å, b = 4.757 Å, c = 6.578 Å
α = 90.00°, β = 90.00°, γ = 90.00°
Space group Immm (No. 71)
One atom of each set of equivalent atoms:
1 Ce 0.000 0.000 0.000 [2 per cell]
2 Mn 0.000 0.000 0.500 [2 per cell]
3 H 0.000 0.254 0.333 [8 per cell]
4 H 0.000 0.500 0.000 [2 per cell]

Largest 10 diffraction maxima, most intense first, 10° ≤ 2θ ≤ 80°:
(hkl), Position (°2θ), I_rel
1 1 0, 31.02, 100
1 1 2, 41.66, 89
0 0 2, 27.11, 71
0 1 1, 23.07, 36
0 2 2, 47.15, 32
0 2 0, 37.82, 28
1 1 4, 65.32, 23
1 0 1, 28.11, 22
2 2 2, 71.46, 18
1 3 2, 70.92, 18


# 2
Diffraction record for CeMnH6. The powder diffraction line list is calculated, not measured: it uses a cell relaxed with GGA-PBE and λ = 1.5418 Å (Cu Kα).
Intensities are scaled so that the largest is 100.

Atomic structure:
a = 7.791 Å, b = 4.413 Å, c = 7.685 Å
α = 90.00°, β = 108.01°, γ = 90.00°
Space group C2/c (No. 15)
One atom of each set of equivalent atoms:
1 Ce 0.000 0.199 0.250 [4 per cell]
2 Mn 0.250 0.250 0.000 [4 per cell]
3 H 0.036 0.303 0.895 [8 per cell]
4 H 0.179 0.066 0.563 [8 per cell]
5 H 0.229 0.441 0.173 [8 per cell]

Largest 10 diffraction maxima, most intense first, 10° ≤ 2θ ≤ 80°:
(hkl), Position (°2θ), I_rel
1 1 1, 28.18, 100
2 0 -2, 28.52, 52
1 1 -3, 40.73, 38
3 1 -1, 40.31, 38
2 0 2, 39.64, 22
1 1 -1, 24.68, 21
2 2 -2, 50.62, 16
5 1 -3, 66.39, 15
0 2 0, 40.90, 14
2 0 0, 24.02, 13


# 3
Diffraction record for CeMn2H9. The powder diffraction line list is calculated, not measured: it uses a cell relaxed with GGA-PBE and λ = 1.5418 Å (Cu Kα).
Intensities are scaled so that the largest is 100.

Atomic structure:
a = 7.750 Å, b = 7.750 Å, c = 4.962 Å
α = 90.00°, β = 90.00°, γ = 90.00°
Space group I4_1/amd (No. 141, origin choice 2)
One atom of each set of equivalent atoms:
1 Ce 0.000 0.250 0.375 [4 per cell]
2 Mn 0.000 0.000 0.000 [8 per cell]
3 H 0.000 0.250 0.875 [4 per cell]
4 H 0.119 0.054 0.710 [32 per cell]

Largest 10 diffraction maxima, most intense first, 10° ≤ 2θ ≤ 80°:
(hkl), Position (°2θ), I_rel
2 1 1, 31.49, 100
2 0 0, 22.95, 44
3 2 1, 46.02, 35
1 1 2, 39.89, 22
4 0 0, 46.90, 21
3 1 2, 52.48, 20
5 2 1, 67.80, 10
4 2 0, 52.83, 10
2 0 2, 43.30, 10
1 0 3, 56.92, 9


# 4
Diffraction record for CeMn3H6. The powder diffraction line list is calculated, not measured: it uses a cell relaxed with GGA-PBE and λ = 1.5418 Å (Cu Kα).
Intensities are scaled so that the largest is 100.

Atomic structure:
a = 6.825 Å, b = 6.798 Å, c = 4.857 Å
α = 90.00°, β = 134.29°, γ = 90.00°
Space group Cm (No. 8)
One atom of each set of equivalent atoms:
1 Ce 0.000 0.000 0.000 [2 per cell]
2 Mn 0.009 0.500 0.999 [2 per cell]
3 Mn 0.493 0.246 0.500 [4 per cell]
4 H 0.005 0.500 0.384 [2 per cell]
5 H 0.214 0.291 0.000 [4 per cell]
6 H 0.284 0.189 0.585 [4 per cell]
7 H 0.414 0.500 0.444 [2 per cell]

Largest 10 diffraction maxima, most intense first, 10° ≤ 2θ ≤ 80°:
(hkl), Position (°2θ), I_rel
0 2 1, 37.00, 100
2 2 -1, 37.34, 65
1 1 -1, 22.46, 34
2 0 0, 36.79, 34
2 4 0, 67.13, 21
0 0 2, 52.65, 12
2 2 1, 66.17, 11
2 2 -3, 66.47, 11
0 4 0, 53.95, 11
4 0 -2, 53.72, 11


# 5
Diffraction record for Ce2HN2. The powder diffraction line list is calculated, not measured: it uses a cell relaxed with GGA-PBE and λ = 1.5418 Å (Cu Kα).
Intensities are scaled so that the largest is 100.

Atomic structure:
a = 3.9885 Å, b = 3.9885 Å, c = 5.5537 Å
α = 90.00°, β = 90.00°, γ = 120.00°
Space group P-3m1 (No. 164)
One atom of each set of equivalent atoms:
1 Ce 0.3333 0.6667 0.2549 [2 per cell]
2 H 0.0000 0.0000 0.0000 [1 per cell]
3 N 0.3333 0.6667 0.6742 [2 per cell]

Largest 10 diffraction maxima, most intense first, 10° ≤ 2θ ≤ 80°:
(hkl), Position (°2θ), I_rel
0 1 1, 30.48, 100
1 0 0, 25.79, 37
1 1 0, 45.48, 32
1 1 2, 56.84, 30
0 0 2, 32.24, 26
0 1 3, 56.39, 21
0 1 2, 41.74, 19
2 0 1, 55.74, 19
1 2 1, 74.69, 16
2 0 3, 75.25, 9


# 6
Diffraction record for Ce4H4N. The powder diffraction line list is calculated, not measured: it uses a cell relaxed with GGA-PBE and λ = 1.5418 Å (Cu Kα).
Intensities are scaled so that the largest is 100.

Atomic structure:
a = 5.435 Å, b = 5.435 Å, c = 10.840 Å
α = 90.00°, β = 90.00°, γ = 90.00°
Space group I-42m (No. 121)
One atom of each set of equivalent atoms:
1 Ce 0.241 0.241 0.121 [8 per cell]
2 H 0.000 0.000 0.252 [4 per cell]
3 H 0.000 0.500 0.000 [4 per cell]
4 N 0.000 0.000 0.000 [2 per cell]

Largest 10 diffraction maxima, most intense first, 10° ≤ 2θ ≤ 80°:
(hkl), Position (°2θ), I_rel
1 1 2, 28.47, 100
0 0 4, 32.99, 47
2 0 4, 47.35, 39
3 1 2, 56.14, 29
1 1 6, 56.27, 15
2 2 4, 58.92, 12
3 1 6, 76.50, 11
4 0 4, 78.77, 10
3 3 2, 76.40, 6
2 0 8, 78.95, 5


# 7
Diffraction record for CeNpHN2. The powder diffraction line list is calculated, not measured: it uses a cell relaxed with GGA-PBE and λ = 1.5418 Å (Cu Kα).
Intensities are scaled so that the largest is 100.

Atomic structure:
a = 3.465 Å, b = 3.465 Å, c = 11.102 Å
α = 90.00°, β = 90.00°, γ = 90.00°
Space group P4/nmm (No. 129, origin choice 2)
One atom of each set of equivalent atoms:
1 Ce 0.250 0.250 0.146 [2 per cell]
2 Np 0.250 0.250 0.610 [2 per cell]
3 H 0.250 0.750 0.000 [2 per cell]
4 N 0.250 0.250 0.387 [2 per cell]
5 N 0.250 0.250 0.800 [2 per cell]

Largest 10 diffraction maxima, most intense first, 10° ≤ 2θ ≤ 80°:
(hkl), Position (°2θ), I_rel
1 0 2, 30.41, 100
1 1 0, 36.67, 42
2 1 2, 62.19, 28
1 1 4, 49.63, 27
0 0 4, 32.25, 22
2 0 0, 52.84, 15
1 0 6, 56.37, 13
2 0 4, 63.27, 13
1 0 3, 35.49, 10
1 1 5, 55.88, 8


# 8
Diffraction record for CePaHN2. The powder diffraction line list is calculated, not measured: it uses a cell relaxed with GGA-PBE and λ = 1.5418 Å (Cu Kα).
Intensities are scaled so that the largest is 100.

Atomic structure:
a = 3.485 Å, b = 3.485 Å, c = 11.219 Å
α = 90.00°, β = 90.00°, γ = 90.00°
Space group P4/nmm (No. 129, origin choice 2)
One atom of each set of equivalent atoms:
1 Ce 0.250 0.250 0.143 [2 per cell]
2 Pa 0.250 0.250 0.613 [2 per cell]
3 H 0.250 0.750 0.000 [2 per cell]
4 N 0.250 0.250 0.381 [2 per cell]
5 N 0.250 0.250 0.806 [2 per cell]

Largest 10 diffraction maxima, most intense first, 10° ≤ 2θ ≤ 80°:
(hkl), Position (°2θ), I_rel
1 0 2, 30.19, 100
1 1 0, 36.46, 41
1 1 4, 49.22, 29
2 1 2, 61.77, 28
0 0 4, 31.91, 24
1 0 6, 55.80, 16
2 0 0, 52.51, 15
2 0 4, 62.78, 14
1 0 3, 35.20, 8
1 1 5, 55.38, 6